# 1
FeCu2S2: simulated powder diffractogram (Cu Kα, 1.54184 Å), based on the PBE geometry in the Materials Project.
Peak positions follow from Bragg's law for the DFT cell and can differ from measured ones.

Structure:
```
20
Lattice="0.0000 5.4075 5.4075 5.4075 0.0000 5.4075 5.4075 5.4075 0.0000" Properties=species:S:1:pos:R:3 pbc="T T T"
Fe 1.3542 1.3542 1.3542
Fe 4.0533 4.0533 1.3542
Fe 4.0533 1.3542 4.0533
Fe 1.3542 4.0533 4.0533
Cu 4.1226 4.1226 4.1226
Cu 6.6924 6.6924 4.1226
Cu 6.6924 4.1226 6.6924
Cu 9.4057 6.8167 6.8167
Cu 4.1226 6.6924 6.6924
Cu 6.8167 9.4057 6.8167
Cu 6.8167 6.8167 9.4057
Cu 9.4057 9.4057 9.4057
S 0.0000 0.0000 0.0000
S 2.7037 2.7037 0.0294
S 2.7037 0.0294 2.7037
S 5.3781 2.7037 2.7037
S 0.0294 2.7037 2.7037
S 2.7037 5.3781 2.7037
S 2.7037 2.7037 5.3781
S 5.4075 5.4075 5.4075
```

Most intense lines, 10° ≤ 2θ ≤ 90°, most intense first:
| 2theta | I (rel.) |
| --- | --- |
| 47.56 | 100 |
| 28.59 | 46 |
| 33.13 | 37 |
| 88.60 | 29 |
| 56.44 | 17 |
| 27.35 | 15 |



# 2
AcNd3: simulated powder diffractogram (Cu Kα, 1.54184 Å), based on the PBE geometry in the Materials Project.
Peak positions follow from Bragg's law for the DFT cell and can differ from measured ones.

Structure:
```
8
Lattice="7.5081 0.0000 0.0000 -3.7540 6.5022 0.0000 0.0000 0.0000 6.1833" Properties=species:S:1:pos:R:3 pbc="T T T"
Ac 0.0000 4.3348 1.5458
Ac 3.7540 2.1674 4.6375
Nd 0.0000 2.1194 4.6375
Nd -1.9186 5.4425 4.6375
Nd 1.8354 1.0597 1.5458
Nd 1.9186 5.4425 4.6375
Nd 5.6727 1.0597 1.5458
Nd 3.7540 4.3828 1.5458
```

Most intense lines, 10° ≤ 2θ ≤ 90°, most intense first:
| 2theta | I (rel.) |
| --- | --- |
| 31.08 | 100 |
| 28.88 | 27 |
| 57.43 | 24 |
| 52.57 | 23 |
| 27.43 | 23 |
| 48.50 | 19 |